Starting from a crystal structure in the Materials Project, relaxed with GGA+U, the XRD peak list of MgV4O5F7 was simulated for Cu Kα (weighted mean of Kα1 and Kα2).
Neutral-atom scattering factors, no anomalous dispersion.

Structure:
Cell lengths 5.167, 5.453, 9.019 Å; angles 73.47, 89.68, 63.03 degrees
Fractional positions:
Mg 0.000 0.000 0.000
V 0.108 0.897 0.350
V 0.306 0.401 0.117
V 0.547 0.860 0.833
V 0.844 0.387 0.603
O 0.203 0.156 0.681
O 0.238 0.144 0.290
O 0.241 0.685 0.217
O 0.337 0.685 0.930
O 0.761 0.658 0.724
F 0.278 0.168 0.979
F 0.409 0.612 0.530
F 0.724 0.156 0.797
F 0.755 0.161 0.155
F 0.838 0.142 0.480
F 0.846 0.690 0.027
F 0.880 0.662 0.428

Largest 10 diffraction maxima, by angle, 2θ from 10° to 90°:
d [Å]  2theta  I/Imax  hkl
3.795  23.44  100  0 1 2
3.711  23.98  49  1 1 -1
2.770  32.32  13  -1 1 1
2.734  32.76  13  0 1 -2
2.716  32.98  10  1 2 1
2.277  39.59  19  1 0 3
1.900  47.87  12  2 0 2
1.895  48.01  11  0 2 4
1.855  49.10  10  2 2 -2
1.741  52.58  15  -1 2 3